This entry pairs a crystal structure of Nd5Sn3 with its calculated powder diffractogram. Radiation: Cu Kα. Structure: a structure optimized by DFT (PBE).

Crystal structure
Unit cell a=9.3091 b=9.3091 c=6.8385 alpha=90.00 beta=90.00 gamma=120.00
Sites, in units of the cell vectors:
Nd: 0.0000 0.2422 0.2500
Nd: 0.0000 0.7578 0.7500
Nd: 0.2422 0.0000 0.2500
Nd: 0.2422 0.2422 0.7500
Nd: 0.3333 0.6667 0.0000
Nd: 0.3333 0.6667 0.5000
Nd: 0.6667 0.3333 0.0000
Nd: 0.6667 0.3333 0.5000
Nd: 0.7578 0.0000 0.7500
Nd: 0.7578 0.7578 0.2500
Sn: 0.0000 0.3936 0.7500
Sn: 0.0000 0.6064 0.2500
Sn: 0.3936 0.0000 0.7500
Sn: 0.3936 0.3936 0.2500
Sn: 0.6064 0.0000 0.2500
Sn: 0.6064 0.6064 0.7500

Principal peaks in the range 2θ = 5–70°, in order of falling intensity:
2theta, I/Imax
32.16, 100.0
32.49, 79.6
33.34, 41.7
29.31, 31.3
49.97, 29.3
47.24, 19.7
28.35, 18.4
63.82, 17.9
26.06, 17.8
52.72, 13.5

This entry pairs a crystal structure of Ni9BiTeS8 with its calculated powder diffractogram. Radiation: Cu Kα. Structure: a structure optimized by DFT (PBE).

Crystal structure
Unit cell a=7.3342 b=7.3342 c=5.3660 alpha=90.00 beta=90.00 gamma=90.00
Sites, in units of the cell vectors:
Ni: 0.0000 0.0000 0.0000
Ni: 0.1803 0.5000 0.2506
Ni: 0.1803 0.5000 0.7494
Ni: 0.5000 0.1803 0.2506
Ni: 0.5000 0.1803 0.7494
Ni: 0.5000 0.8197 0.2506
Ni: 0.5000 0.8197 0.7494
Ni: 0.8197 0.5000 0.2506
Ni: 0.8197 0.5000 0.7494
Bi: 0.0000 0.0000 0.5000
Te: 0.5000 0.5000 0.0000
S: 0.0000 0.3151 0.0000
S: 0.0000 0.6849 0.0000
S: 0.2711 0.2711 0.5000
S: 0.2711 0.7289 0.5000
S: 0.3151 0.0000 0.0000
S: 0.6849 0.0000 0.0000
S: 0.7289 0.2711 0.5000
S: 0.7289 0.7289 0.5000

Principal peaks in the range 2θ = 5–70°, in order of falling intensity:
2theta, I/Imax
31.98, 100.0
27.19, 82.9
37.75, 81.8
38.83, 75.2
50.51, 73.7
48.84, 69.1
24.27, 56.7
52.97, 49.6
20.51, 47.3
49.73, 34.1

This entry pairs a crystal structure of NaSb2Te with its calculated powder diffractogram. Radiation: Cu Kα. Structure: a structure optimized by DFT (PBE).

Crystal structure
Unit cell a=7.0558 b=7.0558 c=7.0558 alpha=100.89 beta=100.89 gamma=128.48
Sites, in units of the cell vectors:
Na: 0.0000 0.0000 0.0000
Na: 0.7500 0.2500 0.5000
Sb: 0.1455 0.1250 0.5205
Sb: 0.3750 0.8545 0.9795
Sb: 0.6045 0.6250 0.4795
Sb: 0.8750 0.3955 0.0205
Te: 0.2500 0.7500 0.5000
Te: 0.5000 0.5000 0.0000

Principal peaks in the range 2θ = 5–70°, in order of falling intensity:
2theta, I/Imax
28.08, 100.0
32.42, 74.6
43.41, 62.9
40.14, 36.5
17.51, 31.5
60.60, 20.8
64.19, 18.8
52.51, 16.9
39.01, 16.2
65.71, 14.5

This entry pairs a crystal structure of DyBeNi6B with its calculated powder diffractogram. Radiation: Cu Kα. Structure: a structure optimized by DFT (PBE).

Crystal structure
Unit cell a=7.0556 b=7.0556 c=7.0556 alpha=135.38 beta=108.47 gamma=88.37
Sites, in units of the cell vectors:
Dy: 0.4272 0.1772 0.2500
Dy: 0.5728 0.8228 0.7500
Be: 0.0000 0.0000 0.5000
Be: 0.0000 0.5000 0.0000
Ni: 0.1084 0.3801 0.2284
Ni: 0.1084 0.8800 0.7283
Ni: 0.1685 0.9185 0.2500
Ni: 0.2773 0.5273 0.7500
Ni: 0.3483 0.1200 0.7284
Ni: 0.3483 0.6199 0.2283
Ni: 0.6517 0.3801 0.7717
Ni: 0.6517 0.8800 0.2716
Ni: 0.7227 0.4727 0.2500
Ni: 0.8315 0.0815 0.7500
Ni: 0.8916 0.1200 0.2717
Ni: 0.8916 0.6199 0.7716
B: 0.0000 0.5000 0.5000
B: 0.5000 0.5000 0.0000

Principal peaks in the range 2θ = 5–70°, in order of falling intensity:
2theta, I/Imax
40.14, 100.0
40.94, 45.5
43.91, 38.2
13.85, 37.2
31.34, 34.2
38.35, 34.0
36.37, 22.6
54.64, 22.1
52.00, 22.1
33.78, 21.3

This entry pairs a crystal structure of Ba8SiPt2 with its calculated powder diffractogram. Radiation: Cu Kα. Structure: a structure optimized by DFT (PBE).

Crystal structure
Unit cell a=6.6028 b=10.2470 c=10.2494 alpha=60.04 beta=89.99 gamma=89.99
Sites, in units of the cell vectors:
Ba: 0.2366 0.3334 0.3335
Ba: 0.2571 0.3241 0.8390
Ba: 0.2572 0.8371 0.3241
Ba: 0.2571 0.8388 0.8370
Ba: 0.7429 0.1612 0.1630
Ba: 0.7428 0.1629 0.6759
Ba: 0.7429 0.6759 0.1610
Ba: 0.7634 0.6666 0.6665
Si: 0.5000 0.0000 0.0000
Pt: 0.2741 0.6666 0.6665
Pt: 0.7259 0.3334 0.3335

Principal peaks in the range 2θ = 5–70°, in order of falling intensity:
2theta, I/Imax
35.02, 100.0
20.00, 90.7
44.77, 89.2
24.16, 84.0
27.01, 59.3
16.73, 56.2
33.84, 56.2
17.30, 45.9
29.87, 36.6
49.50, 27.1

This entry pairs a crystal structure of La4TcN5 with its calculated powder diffractogram. Radiation: Cu Kα. Structure: a structure optimized by DFT (PBE).

Crystal structure
Unit cell a=6.1962 b=6.1962 c=6.1962 alpha=101.03 beta=101.03 gamma=128.12
Sites, in units of the cell vectors:
La: 0.1099 0.6962 0.8061
La: 0.3038 0.1099 0.4136
La: 0.6962 0.8901 0.5864
La: 0.8901 0.3038 0.1939
Tc: 0.4250 0.4250 0.0000
N: 0.0782 0.0782 0.0000
N: 0.2022 0.3821 0.6365
N: 0.3821 0.7456 0.1798
N: 0.5658 0.2022 0.8202
N: 0.7456 0.5658 0.3635

Principal peaks in the range 2θ = 5–70°, in order of falling intensity:
2theta, I/Imax
30.25, 100.0
36.04, 46.2
49.70, 32.1
61.25, 26.9
33.05, 26.6
51.89, 16.7
57.30, 15.5
62.91, 15.0
19.88, 3.2
40.39, 2.2

This entry pairs a crystal structure of Ga6Hg with its calculated powder diffractogram. Radiation: Cu Kα. Structure: a structure optimized by DFT (PBE).

Crystal structure
Unit cell a=5.7336 b=5.7336 c=8.6379 alpha=90.00 beta=90.00 gamma=90.00
Sites, in units of the cell vectors:
Ga: 0.0735 0.5735 0.1397
Ga: 0.0735 0.9265 0.8603
Ga: 0.2500 0.2500 0.3490
Ga: 0.2500 0.2500 0.6510
Ga: 0.4265 0.5735 0.8603
Ga: 0.4265 0.9265 0.1397
Ga: 0.5735 0.0735 0.8603
Ga: 0.5735 0.4265 0.1397
Ga: 0.7500 0.7500 0.3490
Ga: 0.7500 0.7500 0.6510
Ga: 0.9265 0.0735 0.1397
Ga: 0.9265 0.4265 0.8603
Hg: 0.2500 0.7500 0.5000
Hg: 0.7500 0.2500 0.5000

Principal peaks in the range 2θ = 5–70°, in order of falling intensity:
2theta, I/Imax
32.92, 100.0
38.34, 63.9
30.24, 43.7
67.45, 29.7
40.93, 29.3
44.70, 27.7
36.56, 24.7
54.92, 21.7
10.24, 19.7
31.06, 18.3

This entry pairs a crystal structure of Bi with its calculated powder diffractogram. Radiation: Cu Kα. Structure: a structure optimized by DFT (PBE).

Crystal structure
Unit cell a=11.5577 b=11.5577 c=4.4517 alpha=90.00 beta=90.00 gamma=90.00
Sites, in units of the cell vectors:
Bi: 0.0914 0.3439 0.0000
Bi: 0.1281 0.1586 0.5000
Bi: 0.1585 0.5940 0.5000
Bi: 0.1586 0.8719 0.5000
Bi: 0.3439 0.6307 0.0000
Bi: 0.3439 0.9086 0.0000
Bi: 0.3693 0.3439 0.0000
Bi: 0.4060 0.1585 0.5000
Bi: 0.5940 0.8415 0.5000
Bi: 0.6307 0.6561 0.0000
Bi: 0.6561 0.0914 0.0000
Bi: 0.6561 0.3693 0.0000
Bi: 0.8414 0.1281 0.5000
Bi: 0.8415 0.4060 0.5000
Bi: 0.8719 0.8414 0.5000
Bi: 0.9086 0.6561 0.0000

Principal peaks in the range 2θ = 5–70°, in order of falling intensity:
2theta, I/Imax
30.69, 100.0
30.95, 70.0
44.15, 65.7
26.42, 57.0
34.48, 50.2
24.35, 35.9
51.85, 34.2
21.39, 33.3
40.53, 29.5
68.80, 25.6

This entry pairs a crystal structure of Ce2Pa3Se8 with its calculated powder diffractogram. Radiation: Cu Kα. Structure: a structure optimized by DFT (PBE).

Crystal structure
Unit cell a=8.6494 b=8.6494 c=4.9732 alpha=90.00 beta=90.00 gamma=110.02
Sites, in units of the cell vectors:
Ce: 0.2352 0.7648 0.0000
Ce: 0.7648 0.2352 0.0000
Pa: 0.2346 0.2346 0.5000
Pa: 0.5000 0.5000 0.0000
Pa: 0.7654 0.7654 0.5000
Se: 0.1225 0.8775 0.5000
Se: 0.1391 0.3789 0.0000
Se: 0.3789 0.1391 0.0000
Se: 0.3842 0.6158 0.5000
Se: 0.6158 0.3842 0.5000
Se: 0.6211 0.8609 0.0000
Se: 0.8609 0.6211 0.0000
Se: 0.8775 0.1225 0.5000

Principal peaks in the range 2θ = 5–70°, in order of falling intensity:
2theta, I/Imax
36.01, 100.0
36.17, 50.4
21.85, 35.9
12.49, 24.5
64.88, 18.1
52.08, 17.3
64.63, 16.3
65.01, 16.1
42.66, 11.9
10.89, 10.2

This entry pairs a crystal structure of Zr2TlAs with its calculated powder diffractogram. Radiation: Cu Kα. Structure: a structure optimized by DFT (PBE).

Crystal structure
Unit cell a=8.1031 b=8.1031 c=8.1031 alpha=26.32 beta=26.32 gamma=26.32
Sites, in units of the cell vectors:
Zr: 0.0000 0.0000 0.0000
Zr: 0.1996 0.1996 0.1996
Tl: 0.4325 0.4325 0.4325
As: 0.6002 0.6002 0.6002

Principal peaks in the range 2θ = 5–70°, in order of falling intensity:
2theta, I/Imax
33.94, 100.0
49.40, 45.1
31.89, 42.6
38.95, 35.1
28.18, 29.9
28.96, 28.1
61.29, 17.9
61.59, 16.1
34.41, 14.4
48.12, 13.8